# Li2DyMoO4
Theoretical powder diffraction line list, Cu Kα X-rays. Input: a DFT-relaxed cell (PBE+U, Alexandria).
Lines closer than 0.1° are merged.

Top 10 peaks for 10 to 90 degrees two-theta, by angle:
2θ/deg, d/Å, I_rel, index
22.1, 4.017, 100, 1 0 1
34.2, 2.623, 40, 1 1 2
34.4, 2.605, 27, 1 0 3
37.2, 2.420, 20, 0 0 4
40.9, 2.207, 32, 2 0 0
47.0, 1.935, 27, 2 1 1
51.6, 1.773, 12, 1 0 5
54.5, 1.684, 15, 2 1 3
56.4, 1.631, 23, 2 0 4
70.2, 1.341, 11, 3 1 2

Cell and atoms:
Cell lengths 4.415, 4.415, 9.679 Å; angles 90.00, 90.00, 90.00 degrees
Space group I-4m2 (No. 119)
Unique sites:
1 Li 0.000 0.000 0.000
2 Li 0.000 0.500 0.250
3 Dy 0.000 0.500 0.750
4 Mo 0.000 0.000 0.500
5 O 0.000 0.000 0.275
6 O 0.000 0.500 0.510